Record 1
Diffraction record for TaCr3Ag2S8. The X-ray powder pattern is computed, not measured: it uses DFT lattice parameters and positions (GGA-PBE) and CuKα.

a = 12.216 Å, b = 7.407 Å, c = 11.541 Å
α = 90.00°, β = 90.41°, γ = 90.00°
Element x y z (fractional)
1 Ta 0.000 0.105 0.000
2 Ta 0.000 0.895 0.500
3 Ta 0.368 0.381 0.475
4 Ta 0.368 0.619 0.975
5 Cr 0.191 0.133 0.248
6 Cr 0.191 0.867 0.748
7 Cr 0.255 0.379 0.775
8 Cr 0.255 0.621 0.275
9 Cr 0.498 0.120 0.721
10 Cr 0.498 0.880 0.221
11 Cr 0.683 0.123 0.468
12 Cr 0.683 0.877 0.968
13 Cr 0.747 0.377 0.954
14 Cr 0.747 0.623 0.454
15 Cr 0.866 0.367 0.239
16 Cr 0.866 0.633 0.739
17 Ag 0.012 0.379 0.514
18 Ag 0.012 0.621 0.014
19 Ag 0.363 0.114 0.998
20 Ag 0.363 0.886 0.498
21 Ag 0.527 0.371 0.204
22 Ag 0.527 0.629 0.704
23 Ag 0.852 0.119 0.725
24 Ag 0.852 0.881 0.225
25 S 0.046 0.327 0.154
26 S 0.046 0.673 0.654
27 S 0.066 0.096 0.639
28 S 0.066 0.904 0.139
29 S 0.163 0.133 0.887
30 S 0.163 0.867 0.387
31 S 0.185 0.375 0.388
32 S 0.185 0.625 0.888
33 S 0.306 0.416 0.126
34 S 0.306 0.584 0.626
35 S 0.317 0.163 0.641
36 S 0.317 0.837 0.141
37 S 0.385 0.125 0.332
38 S 0.385 0.875 0.832
39 S 0.433 0.378 0.857
40 S 0.433 0.622 0.357
41 S 0.550 0.323 0.569
42 S 0.550 0.677 0.069
43 S 0.561 0.078 0.087
44 S 0.561 0.922 0.587
45 S 0.662 0.130 0.840
46 S 0.662 0.870 0.340
47 S 0.694 0.377 0.337
48 S 0.694 0.623 0.837
49 S 0.811 0.423 0.600
50 S 0.811 0.577 0.100
51 S 0.813 0.161 0.092
52 S 0.813 0.839 0.592
53 S 0.884 0.119 0.400
54 S 0.884 0.881 0.900
55 S 0.919 0.377 0.870
56 S 0.919 0.623 0.370

Most intense lines, 2θ = 15–90°, by angle:
2θ 25.26, I = 47.2; 2θ 26.70, I = 65.1; 2θ 26.89, I = 70.6; 2θ 33.60, I = 100.0; 2θ 34.35, I = 41.1; 2θ 34.45, I = 49.3; 2θ 36.69, I = 45.3; 2θ 36.83, I = 40.7

Record 2
Diffraction record for TaCr3Ag2S8. The X-ray powder pattern is computed, not measured: it uses DFT lattice parameters and positions (GGA-PBE) and CuKα.

a = 6.017 Å, b = 6.967 Å, c = 6.508 Å
α = 90.00°, β = 91.05°, γ = 90.00°
Element x y z (fractional)
1 Ta 0.000 0.000 0.000
2 Cr 0.000 0.500 0.000
3 Cr 0.500 0.250 0.000
4 Cr 0.500 0.750 0.000
5 Ag 0.500 0.255 0.500
6 Ag 0.500 0.745 0.500
7 S 0.171 0.255 0.212
8 S 0.171 0.745 0.212
9 S 0.329 0.500 0.798
10 S 0.332 0.000 0.784
11 S 0.668 0.000 0.216
12 S 0.671 0.500 0.202
13 S 0.829 0.255 0.788
14 S 0.829 0.745 0.788

Most intense lines, 2θ = 15–90°, by angle:
2θ 19.92, I = 57.5; 2θ 20.29, I = 54.0; 2θ 29.08, I = 46.4; 2θ 29.65, I = 100.0; 2θ 40.47, I = 47.5; 2θ 40.61, I = 48.3; 2θ 41.00, I = 89.1; 2θ 52.67, I = 45.3

Record 3
Diffraction record for TaCr3Ag2S8. The X-ray powder pattern is computed, not measured: it uses DFT lattice parameters and positions (GGA-PBE) and CuKα.

a = 6.458 Å, b = 7.635 Å, c = 12.741 Å
α = 97.89°, β = 94.50°, γ = 90.03°
Element x y z (fractional)
1 Ta 0.000 0.000 0.000
2 Ta 0.372 0.595 0.298
3 Cr 0.070 0.187 0.708
4 Cr 0.474 0.776 0.997
5 Cr 0.584 0.442 0.715
6 Cr 0.603 0.948 0.710
7 Cr 0.856 0.836 0.291
8 Cr 0.877 0.332 0.295
9 Ag 0.098 0.684 0.696
10 Ag 0.331 0.092 0.302
11 Ag 0.482 0.265 0.001
12 Ag 0.965 0.514 0.001
13 S 0.039 0.605 0.361
14 S 0.090 0.217 0.883
15 S 0.142 0.750 0.899
16 S 0.326 0.024 0.101
17 S 0.350 0.567 0.115
18 S 0.406 0.180 0.657
19 S 0.466 0.680 0.647
20 S 0.543 0.849 0.373
21 S 0.552 0.366 0.361
22 S 0.597 0.509 0.891
23 S 0.642 0.966 0.892
24 S 0.803 0.816 0.107
25 S 0.864 0.265 0.117
26 S 0.892 0.404 0.644
27 S 0.904 0.943 0.632
28 S 0.983 0.100 0.369

Most intense lines, 2θ = 15–90°, by angle:
2θ 21.19, I = 100.0; 2θ 27.25, I = 36.0; 2θ 28.69, I = 31.1; 2θ 28.90, I = 32.3; 2θ 29.18, I = 37.2; 2θ 33.01, I = 27.6; 2θ 33.35, I = 29.7; 2θ 48.56, I = 40.5

Record 4
Diffraction record for TaCr3Ag2S8. The X-ray powder pattern is computed, not measured: it uses DFT lattice parameters and positions (GGA-PBE) and CuKα.

a = 6.506 Å, b = 7.683 Å, c = 12.328 Å
α = 97.69°, β = 94.45°, γ = 90.61°
Element x y z (fractional)
1 Ta 0.146 0.205 0.304
2 Ta 0.854 0.795 0.696
3 Cr 0.246 0.389 0.998
4 Cr 0.360 0.057 0.707
5 Cr 0.363 0.546 0.706
6 Cr 0.637 0.454 0.294
7 Cr 0.640 0.943 0.293
8 Cr 0.754 0.611 0.002
9 Ag 0.122 0.700 0.296
10 Ag 0.258 0.872 0.000
11 Ag 0.742 0.128 0.000
12 Ag 0.878 0.300 0.704
13 S 0.089 0.634 0.092
14 S 0.125 0.175 0.118
15 S 0.192 0.786 0.640
16 S 0.227 0.283 0.634
17 S 0.324 0.458 0.375
18 S 0.326 0.977 0.369
19 S 0.372 0.119 0.888
20 S 0.420 0.575 0.891
21 S 0.580 0.425 0.109
22 S 0.628 0.881 0.112
23 S 0.674 0.023 0.631
24 S 0.676 0.542 0.625
25 S 0.773 0.717 0.366
26 S 0.808 0.214 0.360
27 S 0.875 0.825 0.882
28 S 0.911 0.366 0.908

Most intense lines, 2θ = 15–90°, by angle:
2θ 21.90, I = 100.0; 2θ 27.32, I = 32.9; 2θ 27.46, I = 37.8; 2θ 28.46, I = 35.7; 2θ 29.05, I = 68.8; 2θ 33.57, I = 27.1; 2θ 47.34, I = 27.3; 2θ 47.95, I = 27.3

What did the fourth record say?
Diffraction record for TaCr3Ag2S8. The X-ray powder pattern is computed, not measured: it uses DFT lattice parameters and positions (GGA-PBE) and CuKα.

a = 6.506 Å, b = 7.683 Å, c = 12.328 Å
α = 97.69°, β = 94.45°, γ = 90.61°
Element x y z (fractional)
1 Ta 0.146 0.205 0.304
2 Ta 0.854 0.795 0.696
3 Cr 0.246 0.389 0.998
4 Cr 0.360 0.057 0.707
5 Cr 0.363 0.546 0.706
6 Cr 0.637 0.454 0.294
7 Cr 0.640 0.943 0.293
8 Cr 0.754 0.611 0.002
9 Ag 0.122 0.700 0.296
10 Ag 0.258 0.872 0.000
11 Ag 0.742 0.128 0.000
12 Ag 0.878 0.300 0.704
13 S 0.089 0.634 0.092
14 S 0.125 0.175 0.118
15 S 0.192 0.786 0.640
16 S 0.227 0.283 0.634
17 S 0.324 0.458 0.375
18 S 0.326 0.977 0.369
19 S 0.372 0.119 0.888
20 S 0.420 0.575 0.891
21 S 0.580 0.425 0.109
22 S 0.628 0.881 0.112
23 S 0.674 0.023 0.631
24 S 0.676 0.542 0.625
25 S 0.773 0.717 0.366
26 S 0.808 0.214 0.360
27 S 0.875 0.825 0.882
28 S 0.911 0.366 0.908

Most intense lines, 2θ = 15–90°, by angle:
2θ 21.90, I = 100.0; 2θ 27.32, I = 32.9; 2θ 27.46, I = 37.8; 2θ 28.46, I = 35.7; 2θ 29.05, I = 68.8; 2θ 33.57, I = 27.1; 2θ 47.34, I = 27.3; 2θ 47.95, I = 27.3